Starting from a crystal structure in Alexandria, relaxed with GGA-PBE, the powder X-ray diffraction pattern of Pr3TlPb3 was calculated for copper Kα.
Kinematic intensities with the Lorentz-polarization factor, no thermal factor.

Cell and atoms:
a = 9.205 Å, b = 9.205 Å, c = 5.951 Å
α = 90.00°, β = 90.00°, γ = 120.00°
Positions (direct):
Pr (0.089, 0.642, 0.250)
Pr (0.358, 0.447, 0.250)
Pr (0.447, 0.089, 0.750)
Pr (0.553, 0.911, 0.250)
Pr (0.642, 0.553, 0.750)
Pr (0.911, 0.358, 0.750)
Tl (0.333, 0.667, 0.750)
Tl (0.667, 0.333, 0.250)
Pb (0.055, 0.802, 0.750)
Pb (0.198, 0.253, 0.750)
Pb (0.253, 0.055, 0.250)
Pb (0.747, 0.945, 0.750)
Pb (0.802, 0.747, 0.250)
Pb (0.945, 0.198, 0.250)

Peak list (10 most intense, 5 to 70 degrees two-theta, by intensity)
2θ/deg, I (rel.), h k l
33.3, 100.0, 1 2 1
30.0, 30.9, 0 0 2
55.5, 23.9, 1 2 3
29.7, 22.8, 1 2 0
61.8, 20.7, 4 1 2
42.7, 17.2, 1 2 2
52.6, 16.7, 4 1 0
63.7, 15.3, 2 4 1
62.4, 4.0, 0 0 4
22.3, 3.3, 2 0 0